The following is a theoretical PXRD pattern of NbCoNO. It was derived from a DFT-relaxed cell (PBE+U, OQMD), using Cu Ka.

Cell and atoms:
```
NbCoNO
1.0
6.078 0.000 0.000
0.000 7.092 0.000
0.000 0.000 4.389
Nb Co N O
4 4 4 4
Direct
0.082 0.114 0.000 Nb
0.418 0.114 0.500 Nb
0.582 0.886 0.000 Nb
0.918 0.886 0.500 Nb
0.107 0.627 0.959 Co
0.393 0.627 0.459 Co
0.607 0.373 0.959 Co
0.893 0.373 0.459 Co
0.076 0.148 0.507 N
0.424 0.148 0.007 N
0.576 0.852 0.507 N
0.924 0.852 0.007 N
0.061 0.615 0.495 O
0.439 0.615 0.995 O
0.561 0.385 0.495 O
0.939 0.385 0.995 O
```

Peak list (10 most intense, 5 to 70 degrees two-theta, most intense first)
d = 2.512 Å, rel. 100; d = 3.063 Å, rel. 79; d = 2.498 Å, rel. 66; d = 2.194 Å, rel. 51; d = 1.759 Å, rel. 47; d = 1.373 Å, rel. 36; d = 1.784 Å, rel. 28; d = 3.039 Å, rel. 28; d = 1.773 Å, rel. 25; d = 1.446 Å, rel. 23

The following is a theoretical PXRD pattern of NdCoNO. It was derived from a DFT-relaxed cell (PBE+U, OQMD), using Cu Ka.

Cell and atoms:
```
NdCoNO
1.0
3.495 0.000 0.000
0.000 5.654 0.000
0.000 0.000 5.744
Nd Co N O
2 2 2 2
Direct
0.000 0.209 0.000 Nd
0.000 0.791 0.500 Nd
0.500 0.244 0.475 Co
0.500 0.756 0.975 Co
0.500 0.047 0.751 N
0.500 0.953 0.251 N
0.000 0.395 0.388 O
0.000 0.605 0.888 O
```

Peak list (10 most intense, 5 to 70 degrees two-theta, most intense first)
d = 2.640 Å, rel. 100; d = 2.872 Å, rel. 32; d = 2.827 Å, rel. 24; d = 1.610 Å, rel. 23; d = 2.015 Å, rel. 23; d = 4.029 Å, rel. 19; d = 1.594 Å, rel. 17; d = 1.747 Å, rel. 13; d = 3.495 Å, rel. 10; d = 2.053 Å, rel. 10